For P2Pd6Pb3, the PBE geometry in Alexandria gives the theoretical XRD peak list in this record (λ = 1.5418 Å (Cu Kα)).

The 10 most intense peaks (2θ from 15° to 90°), sorted by position:
- 28.6 deg, I 46
- 29.8 deg, I 24
- 30.8 deg, I 26
- 33.7 deg, I 62
- 38.1 deg, I 100
- 39.1 deg, I 30
- 42.6 deg, I 75
- 59.2 deg, I 36
- 61.8 deg, I 25
- 75.0 deg, I 27

a b c (Å): 11.8974 11.8974 11.8974
angles (deg): 159.45 159.45 29.22
Element x y z (fractional)
P (0.0495, 0.0495, 0.0000)
P (0.9505, 0.9505, 0.0000)
Pd (0.0974, 0.5974, 0.5000)
Pd (0.1809, 0.1809, 0.0000)
Pd (0.4026, 0.9026, 0.5000)
Pd (0.5974, 0.0974, 0.5000)
Pd (0.8191, 0.8191, 0.0000)
Pd (0.9026, 0.4026, 0.5000)
Pb (0.3034, 0.3034, 0.0000)
Pb (0.5000, 0.5000, 0.0000)
Pb (0.6966, 0.6966, 0.0000)